Entry 1:
Cd2P2H10CCl2O11: theoretical X-ray powder pattern (a wavelength of 1.5418 Å), based on a DFT-relaxed cell (GGA-PBE, OQMD).

Structure:
Cell lengths 5.607, 9.452, 12.068 Å; angles 77.43, 82.55, 74.18 degrees
Space group P-1 (No. 2)
Symmetry-distinct sites (fractional):
Cd  0.136  0.075  0.253 [2 per cell]
Cd  0.258  0.399  0.922 [2 per cell]
P  0.139  0.745  0.186 [2 per cell]
P  0.306  0.395  0.192 [2 per cell]
H  0.059  0.831  0.967 [2 per cell]
H  0.129  0.176  0.616 [2 per cell]
H  0.217  0.278  0.500 [2 per cell]
H  0.218  0.858  0.562 [2 per cell]
H  0.246  0.750  0.877 [2 per cell]
H  0.265  0.050  0.468 [2 per cell]
H  0.377  0.797  0.671 [2 per cell]
H  0.377  0.944  0.878 [2 per cell]
H  0.460  0.906  0.429 [2 per cell]
H  0.492  0.926  0.113 [2 per cell]
C  0.164  0.552  0.270 [2 per cell]
Cl  0.145  0.464  0.682 [2 per cell]
Cl  0.326  0.527  0.393 [2 per cell]
O  0.038  0.849  0.271 [2 per cell]
O  0.041  0.237  0.905 [2 per cell]
O  0.120  0.413  0.103 [2 per cell]
O  0.140  0.852  0.888 [2 per cell]
O  0.209  0.813  0.645 [2 per cell]
O  0.248  0.177  0.545 [2 per cell]
O  0.279  0.961  0.432 [2 per cell]
O  0.329  0.251  0.281 [2 per cell]
O  0.398  0.756  0.134 [2 per cell]
O  0.440  0.587  0.864 [2 per cell]
O  0.462  0.032  0.121 [2 per cell]

The 6 most intense peaks (10° ≤ 2θ ≤ 80°), by angle:
2θ/deg  I (rel.)
15.1  78.0
19.9  100.0
27.1  88.3
29.6  75.4
30.4  74.4
33.7  79.4

Entry 2:
Y2Er3Tm2Ni2Te2: theoretical X-ray powder pattern (a wavelength of 1.5418 Å), based on a DFT-relaxed cell (GGA-PBE, OQMD).

Structure:
Cell lengths 3.836, 15.551, 9.558 Å; angles 90.00, 90.00, 90.00 degrees
Space group Imm2 (No. 44)
Symmetry-distinct sites (fractional):
Y  0.000  0.185  0.000 [4 per cell]
Er  0.000  0.368  0.798 [4 per cell]
Er  0.000  0.500  0.378 [2 per cell]
Tm  0.000  0.147  0.649 [4 per cell]
Ni  0.000  0.262  0.305 [4 per cell]
Te  0.000  0.000  0.144 [2 per cell]
Te  0.000  0.500  0.043 [2 per cell]

The 6 most intense peaks (10° ≤ 2θ ≤ 80°), by angle:
2θ/deg  I (rel.)
30.4  49.5
33.0  60.9
34.2  100.0
34.6  48.8
51.2  23.8
59.0  29.6

Entry 3:
YEr2In3Pt2: theoretical X-ray powder pattern (a wavelength of 1.5418 Å), based on a DFT-relaxed cell (GGA-PBE, OQMD).

Structure:
Cell lengths 3.616, 13.354, 7.672 Å; angles 90.00, 90.00, 90.00 degrees
Space group Amm2 (No. 38)
Symmetry-distinct sites (fractional):
Y  0.000  0.000  0.000 [2 per cell]
Er  0.000  0.211  0.369 [4 per cell]
In  0.500  0.000  0.350 [2 per cell]
In  0.500  0.116  0.695 [4 per cell]
Pt  0.500  0.169  0.081 [4 per cell]

The 6 most intense peaks (10° ≤ 2θ ≤ 80°), by angle:
2θ/deg  I (rel.)
13.3  31.5
34.0  100.0
35.6  51.5
35.7  21.1
36.7  68.3
63.3  19.0

Entry 4:
Lu2AuSe3: theoretical X-ray powder pattern (a wavelength of 1.5418 Å), based on a DFT-relaxed cell (GGA-PBE, OQMD).

Structure:
Cell lengths 7.619, 3.863, 18.443 Å; angles 90.00, 90.00, 90.00 degrees
Space group Pnma (No. 62)
Symmetry-distinct sites (fractional):
Lu  0.029  0.250  0.197 [4 per cell]
Lu  0.226  0.750  0.502 [4 per cell]
Au  0.063  0.250  0.601 [4 per cell]
Se  0.053  0.750  0.082 [4 per cell]
Se  0.195  0.250  0.738 [4 per cell]
Se  0.197  0.250  0.394 [4 per cell]

The 6 most intense peaks (10° ≤ 2θ ≤ 80°), by angle:
2θ/deg  I (rel.)
26.9  50.6
27.6  45.8
29.7  48.3
35.7  83.5
36.2  100.0
47.1  46.5

Entry 5:
Cs2ReAuBr6: theoretical X-ray powder pattern (a wavelength of 1.5418 Å), based on a DFT-relaxed cell (GGA-PBE, OQMD).

Structure:
Cell lengths 7.768, 7.768, 11.008 Å; angles 90.00, 90.00, 90.00 degrees
Space group I4/m (No. 87)
Symmetry-distinct sites (fractional):
Cs  0.000  0.500  0.250 [4 per cell]
Re  0.000  0.000  0.000 [2 per cell]
Au  0.000  0.000  0.500 [2 per cell]
Br  0.000  0.000  0.234 [4 per cell]
Br  0.226  0.758  0.000 [8 per cell]

The 6 most intense peaks (10° ≤ 2θ ≤ 80°), by angle:
2θ/deg  I (rel.)
16.1  35.8
22.9  89.9
32.6  100.0
40.2  40.4
46.7  70.3
63.3  24.0

Entry 6:
Er3Ga8Ag3: theoretical X-ray powder pattern (a wavelength of 1.5418 Å), based on a DFT-relaxed cell (GGA-PBE, OQMD).

Structure:
Cell lengths 4.301, 9.537, 12.933 Å; angles 90.00, 90.00, 90.00 degrees
Space group Immm (No. 71)
Symmetry-distinct sites (fractional):
Er  0.000  0.000  0.000 [2 per cell]
Er  0.000  0.000  0.301 [4 per cell]
Ga  0.000  0.282  0.144 [8 per cell]
Ga  0.000  0.370  0.341 [8 per cell]
Ag  0.000  0.196  0.500 [4 per cell]
Ag  0.000  0.500  0.000 [2 per cell]

The 6 most intense peaks (10° ≤ 2θ ≤ 80°), by angle:
2θ/deg  I (rel.)
35.0  100.0
35.1  37.8
36.0  21.5
37.8  25.8
41.9  19.6
42.0  33.5

Entry 7:
Sc3CuC2: theoretical X-ray powder pattern (a wavelength of 1.5418 Å), based on a DFT-relaxed cell (GGA-PBE, OQMD).

Structure:
Cell lengths 3.3563, 3.3563, 18.7743 Å; angles 90.00, 90.00, 120.00 degrees
Space group P6_3/mmc (No. 194)
Symmetry-distinct sites (fractional):
Sc  0.0000  0.0000  0.0000 [2 per cell]
Sc  0.3333  0.6667  0.1334 [4 per cell]
Cu  0.0000  0.0000  0.2500 [2 per cell]
C  0.3333  0.6667  0.5768 [4 per cell]

The 6 most intense peaks (10° ≤ 2θ ≤ 80°), by angle:
2θ/deg  I (rel.)
31.1  14.2
36.4  100.0
38.4  17.7
39.2  18.9
54.7  26.1
68.8  16.8

Entry 8:
SnPd9: theoretical X-ray powder pattern (a wavelength of 1.5418 Å), based on a DFT-relaxed cell (GGA-PBE, OQMD).

Structure:
Cell lengths 2.861, 3.863, 38.664 Å; angles 90.00, 90.00, 90.00 degrees
Space group Pmmn (No. 59, origin choice 2)
Symmetry-distinct sites (fractional):
Sn  0.250  0.250  0.157 [2 per cell]
Pd  0.250  0.250  0.230 [2 per cell]
Pd  0.250  0.250  0.303 [2 per cell]
Pd  0.250  0.250  0.375 [2 per cell]
Pd  0.250  0.250  0.446 [2 per cell]
Pd  0.250  0.250  0.518 [2 per cell]
Pd  0.250  0.250  0.589 [2 per cell]
Pd  0.250  0.250  0.661 [2 per cell]
Pd  0.250  0.250  0.734 [2 per cell]
Pd  0.250  0.250  0.808 [2 per cell]

The 6 most intense peaks (10° ≤ 2θ ≤ 80°), by angle:
2θ/deg  I (rel.)
39.2  100.0
40.1  73.9
45.7  50.9
47.0  24.2
67.6  30.9
79.4  19.6

Entry 9:
Hf2PdPb: theoretical X-ray powder pattern (a wavelength of 1.5418 Å), based on a DFT-relaxed cell (GGA-PBE, OQMD).

Structure:
Cell lengths 6.968, 6.968, 6.968 Å; angles 90.00, 90.00, 90.00 degrees
Space group F-43m (No. 216)
Symmetry-distinct sites (fractional):
Hf  0.000  0.000  0.000 [4 per cell]
Hf  0.250  0.250  0.250 [4 per cell]
Pd  0.250  0.250  0.750 [4 per cell]
Pb  0.000  0.000  0.500 [4 per cell]

The 6 most intense peaks (10° ≤ 2θ ≤ 80°), by angle:
2θ/deg  I (rel.)
22.1  2.7
25.6  2.5
36.5  100.0
52.5  17.8
65.6  36.5
77.5  11.5